[1]
Diffraction record for RbAl11O17. The X-ray diffraction stick pattern is simulated, not measured: it uses DFT lattice parameters and positions (GGA-PBE) and Cu Kα (weighted mean of Kα1 and Kα2).
Kinematic intensities with the Lorentz-polarization factor, no thermal factor.

Largest 10 diffraction maxima, low angle first, 2θ = 15–90°:
| d/Å | I (rel.) |
| --- | --- |
| 4.507 | 69 |
| 2.826 | 49 |
| 2.735 | 100 |
| 2.538 | 83 |
| 2.162 | 48 |
| 2.065 | 40 |
| 1.614 | 45 |
| 1.593 | 27 |
| 1.413 | 58 |
| 1.367 | 28 |

Structure:
```
data_RbAl11O17
_chemical_formula_sum 'Rb2 Al22 O34'
_space_group_name_H-M_alt 'P 63/m m c'
_space_group_IT_number 194
_space_group_name_Hall '-P 6c 2c'
_cell_length_a 5.6526
_cell_length_b 5.6526
_cell_length_c 23.0786
_cell_angle_alpha 90.00
_cell_angle_beta 90.00
_cell_angle_gamma 120.00
loop_
_atom_site_label
_atom_site_type_symbol
_atom_site_fract_x
_atom_site_fract_y
_atom_site_fract_z
_atom_site_occupancy
Rb1 Rb 0.3333 0.6667 0.2500 1
Al1 Al 0.0000 0.0000 0.0000 1
Al2 Al 0.1674 0.3348 0.1053 1
Al3 Al 0.3333 0.6667 0.5247 1
Al4 Al 0.3333 0.6667 0.6751 1
O1 O 0.0000 0.0000 0.1397 1
O2 O 0.0032 0.5016 0.1438 1
O3 O 0.1571 0.3141 0.5490 1
O4 O 0.3333 0.6667 0.0549 1
O5 O 0.3333 0.6667 0.7500 1
```


[2]
Diffraction record for Rb3AlO3. The X-ray diffraction stick pattern is simulated, not measured: it uses DFT lattice parameters and positions (GGA-PBE) and Cu Kα (weighted mean of Kα1 and Kα2).
Kinematic intensities with the Lorentz-polarization factor, no thermal factor.

Largest 10 diffraction maxima, low angle first, 2θ = 15–90°:
| d/Å | I (rel.) |
| --- | --- |
| 3.597 | 27 |
| 3.147 | 18 |
| 3.074 | 37 |
| 2.989 | 87 |
| 2.951 | 100 |
| 2.544 | 61 |
| 2.522 | 20 |
| 2.502 | 18 |
| 2.351 | 18 |
| 1.917 | 18 |

Structure:
```
data_Rb3AlO3
_chemical_formula_sum 'Rb12 Al4 O12'
_space_group_name_H-M_alt 'P 1 21/c 1'
_space_group_IT_number 14
_space_group_name_Hall '-P 2ybc'
_cell_length_a 7.550
_cell_length_b 6.934
_cell_length_c 11.004
_cell_angle_alpha 90.00
_cell_angle_beta 96.23
_cell_angle_gamma 90.00
loop_
_atom_site_label
_atom_site_type_symbol
_atom_site_fract_x
_atom_site_fract_y
_atom_site_fract_z
_atom_site_occupancy
Rb1 Rb 0.047 0.117 0.155 1
Rb2 Rb 0.352 0.171 0.927 1
Rb3 Rb 0.368 0.683 0.805 1
Al1 Al 0.148 0.574 0.062 1
O1 O 0.093 0.057 0.416 1
O2 O 0.234 0.691 0.539 1
O3 O 0.281 0.055 0.677 1
```


[3]
Diffraction record for Rb5AlO4. The X-ray diffraction stick pattern is simulated, not measured: it uses DFT lattice parameters and positions (GGA-PBE) and Cu Kα (weighted mean of Kα1 and Kα2).
Kinematic intensities with the Lorentz-polarization factor, no thermal factor.

Largest 10 diffraction maxima, low angle first, 2θ = 15–90°:
| d/Å | I (rel.) |
| --- | --- |
| 3.931 | 38 |
| 3.316 | 65 |
| 3.155 | 71 |
| 2.926 | 73 |
| 2.673 | 100 |
| 2.534 | 61 |
| 2.210 | 39 |
| 2.194 | 58 |
| 1.583 | 33 |
| 1.556 | 35 |

Structure:
```
data_Rb5AlO4
_chemical_formula_sum 'Rb10 Al2 O8'
_space_group_name_H-M_alt 'P m m n'
_space_group_IT_number 59
_cell_length_a 7.862
_cell_length_b 8.760
_cell_length_c 6.633
_cell_angle_alpha 90.00
_cell_angle_beta 90.00
_cell_angle_gamma 90.00
loop_
_space_group_symop_operation_xyz
'x,y,z'
'-x,-y,-z'
'-x+1/2,-y+1/2,z'
'x+1/2,y+1/2,-z'
'x+1/2,-y,-z'
'-x+1/2,y,z'
'-x,y+1/2,-z'
'x,-y+1/2,z'
loop_
_atom_site_label
_atom_site_type_symbol
_atom_site_fract_x
_atom_site_fract_y
_atom_site_fract_z
_atom_site_occupancy
Rb1 Rb 0.012 0.059 0.236 1
Rb2 Rb 0.250 0.750 0.363 1
Al1 Al 0.250 0.250 0.705 1
O1 O 0.054 0.250 0.857 1
O2 O 0.250 0.074 0.552 1
```


[4]
Diffraction record for Rb6AlO4. The X-ray diffraction stick pattern is simulated, not measured: it uses DFT lattice parameters and positions (GGA-PBE) and Cu Kα (weighted mean of Kα1 and Kα2).
Kinematic intensities with the Lorentz-polarization factor, no thermal factor.

Largest 10 diffraction maxima, low angle first, 2θ = 15–90°:
| d/Å | I (rel.) |
| --- | --- |
| 3.601 | 54 |
| 3.345 | 16 |
| 3.115 | 16 |
| 2.909 | 100 |
| 2.848 | 15 |
| 2.634 | 33 |
| 2.621 | 23 |
| 2.467 | 25 |
| 1.691 | 14 |
| 1.656 | 20 |

Structure:
```
data_Rb6AlO4
_chemical_formula_sum 'Rb12 Al2 O8'
_space_group_name_H-M_alt 'P 63 m c'
_space_group_IT_number 186
_space_group_name_Hall 'P 6c -2c'
_cell_length_a 9.8669
_cell_length_b 9.8669
_cell_length_c 6.6909
_cell_angle_alpha 90.00
_cell_angle_beta 90.00
_cell_angle_gamma 120.00
loop_
_atom_site_label
_atom_site_type_symbol
_atom_site_fract_x
_atom_site_fract_y
_atom_site_fract_z
_atom_site_occupancy
Rb1 Rb 0.0889 0.5444 0.0000 1
Rb2 Rb 0.1473 0.2946 0.3669 1
Al1 Al 0.3333 0.6667 0.5975 1
O1 O 0.2332 0.4665 0.6958 1
O2 O 0.3333 0.6667 0.3238 1
```


[5]
Diffraction record for Rb2AlRhO4. The X-ray diffraction stick pattern is simulated, not measured: it uses DFT lattice parameters and positions (GGA-PBE) and Cu Kα (weighted mean of Kα1 and Kα2).
Kinematic intensities with the Lorentz-polarization factor, no thermal factor.

Largest 10 diffraction maxima, low angle first, 2θ = 15–90°:
| d/Å | I (rel.) |
| --- | --- |
| 5.069 | 29 |
| 4.016 | 100 |
| 3.029 | 41 |
| 2.951 | 83 |
| 2.930 | 84 |
| 2.497 | 45 |
| 2.129 | 33 |
| 2.054 | 21 |
| 1.742 | 34 |
| 1.626 | 20 |

Structure:
```
data_Rb2AlRhO4
_chemical_formula_sum 'Rb16 Al8 Rh8 O32'
_space_group_name_H-M_alt 'F d d d'
_space_group_IT_number 70
_cell_length_a 5.481
_cell_length_b 12.117
_cell_length_c 20.276
_cell_angle_alpha 90.00
_cell_angle_beta 90.00
_cell_angle_gamma 90.00
loop_
_space_group_symop_operation_xyz
'x,y,z'
'-x,-y,-z'
'-x+1/4,-y+1/4,z'
'x+1/4,y+1/4,-z'
'x,-y+1/4,-z+1/4'
'-x,y+1/4,z+1/4'
'-x+1/4,y,-z+1/4'
'x+1/4,-y,z+1/4'
'x,y+1/2,z+1/2'
'-x,-y+1/2,-z+1/2'
'-x+1/4,-y+3/4,z+1/2'
'x+1/4,y+3/4,-z+1/2'
'x,-y+3/4,-z+3/4'
'-x,y+3/4,z+3/4'
'-x+1/4,y+1/2,-z+3/4'
'x+1/4,-y+1/2,z+3/4'
'x+1/2,y,z+1/2'
'-x+1/2,-y,-z+1/2'
'-x+3/4,-y+1/4,z+1/2'
'x+3/4,y+1/4,-z+1/2'
'x+1/2,-y+1/4,-z+3/4'
'-x+1/2,y+1/4,z+3/4'
'-x+3/4,y,-z+3/4'
'x+3/4,-y,z+3/4'
'x+1/2,y+1/2,z'
'-x+1/2,-y+1/2,-z'
'-x+3/4,-y+3/4,z'
'x+3/4,y+3/4,-z'
'x+1/2,-y+3/4,-z+1/4'
'-x+1/2,y+3/4,z+1/4'
'-x+3/4,y+1/2,-z+1/4'
'x+3/4,-y+1/2,z+1/4'
loop_
_atom_site_label
_atom_site_type_symbol
_atom_site_fract_x
_atom_site_fract_y
_atom_site_fract_z
_atom_site_occupancy
Rb1 Rb 0.125 0.125 0.302 1
Al1 Al 0.125 0.125 0.125 1
Rh1 Rh 0.125 0.125 0.625 1
O1 O 0.094 0.296 0.418 1
```


[6]
Diffraction record for RbAl2Sb2O7. The X-ray diffraction stick pattern is simulated, not measured: it uses DFT lattice parameters and positions (GGA-PBE) and Cu Kα (weighted mean of Kα1 and Kα2).
Kinematic intensities with the Lorentz-polarization factor, no thermal factor.

Largest 10 diffraction maxima, low angle first, 2θ = 15–90°:
| d/Å | I (rel.) |
| --- | --- |
| 4.587 | 18 |
| 3.898 | 100 |
| 3.546 | 80 |
| 2.837 | 67 |
| 2.294 | 20 |
| 2.009 | 51 |
| 1.784 | 22 |
| 1.746 | 19 |
| 1.638 | 16 |
| 1.419 | 25 |

Structure:
```
data_RbAl2Sb2O7
_chemical_formula_sum 'Rb3 Al6 Sb6 O21'
_space_group_name_H-M_alt 'R 3 2'
_space_group_IT_number 155
_space_group_name_Hall 'R 3 2"'
_cell_length_a 5.6732
_cell_length_b 5.6732
_cell_length_c 25.6197
_cell_angle_alpha 90.00
_cell_angle_beta 90.00
_cell_angle_gamma 120.00
loop_
_atom_site_label
_atom_site_type_symbol
_atom_site_fract_x
_atom_site_fract_y
_atom_site_fract_z
_atom_site_occupancy
Rb1 Rb 0.0000 0.0000 0.0000 1
Al1 Al 0.0000 0.0000 0.4325 1
Sb1 Sb 0.0000 0.0000 0.2238 1
O1 O 0.0000 0.0000 0.5000 1
O2 O 0.0052 0.4334 0.0735 1
```


[7]
Diffraction record for RbAlSiO4. The X-ray diffraction stick pattern is simulated, not measured: it uses DFT lattice parameters and positions (GGA-PBE) and Cu Kα (weighted mean of Kα1 and Kα2).
Kinematic intensities with the Lorentz-polarization factor, no thermal factor.

Largest 10 diffraction maxima, low angle first, 2θ = 15–90°:
| d/Å | I (rel.) |
| --- | --- |
| 3.279 | 49 |
| 3.221 | 100 |
| 2.939 | 11 |
| 2.693 | 40 |
| 2.304 | 16 |
| 2.227 | 13 |
| 1.737 | 13 |
| 1.590 | 9 |
| 1.512 | 8 |
| 1.300 | 9 |

Structure:
```
data_RbAlSiO4
_chemical_formula_sum 'Rb4 Al4 Si4 O16'
_space_group_name_H-M_alt 'P n a 21'
_space_group_IT_number 33
_space_group_name_Hall 'P 2c -2n'
_cell_length_a 8.906
_cell_length_b 9.341
_cell_length_c 5.380
_cell_angle_alpha 90.00
_cell_angle_beta 90.00
_cell_angle_gamma 90.00
loop_
_atom_site_label
_atom_site_type_symbol
_atom_site_fract_x
_atom_site_fract_y
_atom_site_fract_z
_atom_site_occupancy
Rb1 Rb 0.001 0.199 0.000 1
Al1 Al 0.185 0.584 0.023 1
Si1 Si 0.192 0.415 0.524 1
O1 O 0.010 0.411 0.524 1
O2 O 0.244 0.962 0.749 1
O3 O 0.245 0.031 0.230 1
O4 O 0.246 0.757 0.101 1
```


[8]
Diffraction record for Rb2AlSiO4. The X-ray diffraction stick pattern is simulated, not measured: it uses DFT lattice parameters and positions (GGA-PBE) and Cu Kα (weighted mean of Kα1 and Kα2).
Kinematic intensities with the Lorentz-polarization factor, no thermal factor.

Largest 10 diffraction maxima, low angle first, 2θ = 15–90°:
| d/Å | I (rel.) |
| --- | --- |
| 3.943 | 75 |
| 3.311 | 45 |
| 3.283 | 100 |
| 3.016 | 70 |
| 2.663 | 27 |
| 2.311 | 24 |
| 2.213 | 21 |
| 2.065 | 23 |
| 1.752 | 29 |
| 1.645 | 20 |

Structure:
```
data_Rb2AlSiO4
_chemical_formula_sum 'Rb16 Al8 Si8 O32'
_space_group_name_H-M_alt 'F d d d'
_space_group_IT_number 70
_cell_length_a 4.932
_cell_length_b 13.244
_cell_length_c 22.683
_cell_angle_alpha 90.00
_cell_angle_beta 90.00
_cell_angle_gamma 90.00
loop_
_space_group_symop_operation_xyz
'x,y,z'
'-x,-y,-z'
'-x+1/4,-y+1/4,z'
'x+1/4,y+1/4,-z'
'x,-y+1/4,-z+1/4'
'-x,y+1/4,z+1/4'
'-x+1/4,y,-z+1/4'
'x+1/4,-y,z+1/4'
'x,y+1/2,z+1/2'
'-x,-y+1/2,-z+1/2'
'-x+1/4,-y+3/4,z+1/2'
'x+1/4,y+3/4,-z+1/2'
'x,-y+3/4,-z+3/4'
'-x,y+3/4,z+3/4'
'-x+1/4,y+1/2,-z+3/4'
'x+1/4,-y+1/2,z+3/4'
'x+1/2,y,z+1/2'
'-x+1/2,-y,-z+1/2'
'-x+3/4,-y+1/4,z+1/2'
'x+3/4,y+1/4,-z+1/2'
'x+1/2,-y+1/4,-z+3/4'
'-x+1/2,y+1/4,z+3/4'
'-x+3/4,y,-z+3/4'
'x+3/4,-y,z+3/4'
'x+1/2,y+1/2,z'
'-x+1/2,-y+1/2,-z'
'-x+3/4,-y+3/4,z'
'x+3/4,y+3/4,-z'
'x+1/2,-y+3/4,-z+1/4'
'-x+1/2,y+3/4,z+1/4'
'-x+3/4,y+1/2,-z+1/4'
'x+3/4,-y+1/2,z+1/4'
loop_
_atom_site_label
_atom_site_type_symbol
_atom_site_fract_x
_atom_site_fract_y
_atom_site_fract_z
_atom_site_occupancy
Rb1 Rb 0.125 0.125 0.296 1
Al1 Al 0.125 0.125 0.125 1
Si1 Si 0.125 0.125 0.625 1
O1 O 0.105 0.307 0.837 1
```


Repeat the sixth record exactly.
Diffraction record for RbAl2Sb2O7. The X-ray diffraction stick pattern is simulated, not measured: it uses DFT lattice parameters and positions (GGA-PBE) and Cu Kα (weighted mean of Kα1 and Kα2).
Kinematic intensities with the Lorentz-polarization factor, no thermal factor.

Largest 10 diffraction maxima, low angle first, 2θ = 15–90°:
| d/Å | I (rel.) |
| --- | --- |
| 4.587 | 18 |
| 3.898 | 100 |
| 3.546 | 80 |
| 2.837 | 67 |
| 2.294 | 20 |
| 2.009 | 51 |
| 1.784 | 22 |
| 1.746 | 19 |
| 1.638 | 16 |
| 1.419 | 25 |

Structure:
```
data_RbAl2Sb2O7
_chemical_formula_sum 'Rb3 Al6 Sb6 O21'
_space_group_name_H-M_alt 'R 3 2'
_space_group_IT_number 155
_space_group_name_Hall 'R 3 2"'
_cell_length_a 5.6732
_cell_length_b 5.6732
_cell_length_c 25.6197
_cell_angle_alpha 90.00
_cell_angle_beta 90.00
_cell_angle_gamma 120.00
loop_
_atom_site_label
_atom_site_type_symbol
_atom_site_fract_x
_atom_site_fract_y
_atom_site_fract_z
_atom_site_occupancy
Rb1 Rb 0.0000 0.0000 0.0000 1
Al1 Al 0.0000 0.0000 0.4325 1
Sb1 Sb 0.0000 0.0000 0.2238 1
O1 O 0.0000 0.0000 0.5000 1
O2 O 0.0052 0.4334 0.0735 1
```